Starting from a cell relaxed with GGA-PBE, the PXRD pattern of Ce2Sn3Sb3 was simulated for copper Kα.

Cell and atoms:
```
8
Lattice="4.755 0.000 0.000 0.000 4.887 0.000 0.000 0.000 9.110" Properties=species:S:1:pos:R:3 pbc="T T T"
Ce 0.000 0.000 2.225
Ce 0.000 0.000 6.885
Sn 0.000 2.443 4.555
Sn 2.378 2.443 2.290
Sn 2.378 2.443 6.820
Sb 0.000 2.443 0.000
Sb 2.378 0.000 0.000
Sb 2.378 0.000 4.555
```

Top 8 peaks for 10 to 90 degrees two-theta, by angle:
2.729 Å, intensity 1000
2.443 Å, intensity 184
2.378 Å, intensity 170
2.277 Å, intensity 150
1.704 Å, intensity 124
1.460 Å, intensity 148
1.431 Å, intensity 139
1.387 Å, intensity 124